Record 1
Sr5Sn2N6: computed powder diffractogram (a wavelength of 1.5418 Å), based on DFT lattice parameters and positions (GGA-PBE).

Cell and atoms:
a b c (Å): 10.9139 6.9051 13.8991
angles (deg): 90.00 99.94 90.00
Space group C2/c (No. 15)
Unique sites:
Sr1 0.0000 0.1319 0.2500 x4
Sr2 0.0446 0.2285 0.9989 x8
Sr3 0.1570 0.3891 0.7168 x8
Sn1 0.2190 0.3983 0.4263 x8
N1 0.0409 0.4916 0.3754 x8
N2 0.1445 0.0263 0.6538 x8
N3 0.1944 0.0810 0.4236 x8

Principal peaks in the range 10 to 90 degrees two-theta, sorted by position:
hkl, d_spacing, Position (°2θ), intensity
1 1 -1, 5.537, 16.01, 48
1 1 -4, 3.078, 29.01, 72
3 1 1, 2.998, 29.80, 92
3 1 -3, 2.820, 31.73, 95
0 2 3, 2.753, 32.52, 100
2 0 4, 2.685, 33.37, 68

***

Record 2
SrSnN2: computed powder diffractogram (a wavelength of 1.5418 Å), based on DFT lattice parameters and positions (GGA-PBE).

Cell and atoms:
a b c (Å): 6.7603 7.5569 6.2084
angles (deg): 90.00 106.09 90.00
Space group P2_1/c (No. 14)
Unique sites:
Sr1 0.1460 0.1084 0.3140 x4
Sn1 0.3626 0.6473 0.3949 x4
N1 0.2051 0.6789 0.0543 x4
N2 0.3153 0.1154 0.9957 x4

Principal peaks in the range 10 to 90 degrees two-theta, sorted by position:
hkl, d_spacing, Position (°2θ), intensity
1 1 1, 3.458, 25.76, 28
0 2 1, 3.192, 27.95, 100
1 0 -2, 3.050, 29.28, 90
2 1 0, 2.986, 29.92, 100
1 1 2, 2.343, 38.43, 35
1 2 -3, 1.814, 50.29, 34

***

Record 3
SrSnN2: computed powder diffractogram (a wavelength of 1.5418 Å), based on DFT lattice parameters and positions (GGA-PBE).

Cell and atoms:
a b c (Å): 4.0170 4.0170 8.4963
angles (deg): 90.00 90.00 90.00
Space group P4/nmm (No. 129, origin choice 2)
Unique sites:
Sr1 0.2500 0.2500 0.1383 x2
Sn1 0.2500 0.2500 0.6067 x2
N1 0.2500 0.2500 0.8480 x2
N2 0.2500 0.7500 0.5000 x2

Principal peaks in the range 10 to 90 degrees two-theta, sorted by position:
hkl, d_spacing, Position (°2θ), intensity
1 0 2, 2.919, 30.63, 100
1 1 0, 2.840, 31.50, 57
2 0 0, 2.008, 45.14, 26
1 1 4, 1.701, 53.90, 26
2 1 2, 1.655, 55.54, 39
2 0 4, 1.459, 63.79, 16

***

Record 4
Zn4SnN4: computed powder diffractogram (a wavelength of 1.5418 Å), based on DFT lattice parameters and positions (GGA-PBE).

Cell and atoms:
a b c (Å): 5.8659 5.9920 8.6971
angles (deg): 89.75 73.75 88.98
Space group P-1 (No. 2)
Unique sites:
Zn1 0.0084 0.3634 0.1242 x2
Zn2 0.2684 0.1561 0.3464 x2
Zn3 0.2994 0.6302 0.5524 x2
Zn4 0.3298 0.8459 0.0467 x2
Sn1 0.2191 0.1166 0.7346 x2
N1 0.0298 0.6939 0.0951 x2
N2 0.0541 0.8243 0.6852 x2
N3 0.3502 0.3002 0.5267 x2
N4 0.4857 0.9940 0.8295 x2

Principal peaks in the range 10 to 90 degrees two-theta, sorted by position:
hkl, d_spacing, Position (°2θ), intensity
1 0 1, 5.425, 16.34, 66
0 1 -2, 3.427, 26.00, 64
-1 1 1, 3.396, 26.24, 60
2 0 0, 2.818, 31.76, 68
-1 1 2, 2.659, 33.71, 100
1 1 3, 2.566, 34.97, 78

***

Record 5
Zn2SnN2: computed powder diffractogram (a wavelength of 1.5418 Å), based on DFT lattice parameters and positions (GGA-PBE).

Cell and atoms:
a b c (Å): 12.0039 3.4053 7.8857
angles (deg): 90.00 106.98 90.00
Space group C2/m (No. 12)
Unique sites:
Zn1 0.0438 0.0000 0.2432 x4
Zn2 0.1523 0.5000 0.0116 x4
Sn1 0.1699 0.5000 0.6247 x4
N1 0.0422 0.5000 0.7616 x4
N2 0.1822 0.0000 0.1463 x4

Principal peaks in the range 10 to 90 degrees two-theta, sorted by position:
hkl, d_spacing, Position (°2θ), intensity
1 1 -1, 3.091, 28.88, 44
2 0 2, 2.799, 31.98, 67
4 0 -2, 2.694, 33.25, 60
1 1 -2, 2.576, 34.82, 88
3 1 0, 2.544, 35.28, 100
6 0 0, 1.915, 47.48, 34

***

Record 6
Sr4N3: computed powder diffractogram (a wavelength of 1.5418 Å), based on DFT lattice parameters and positions (GGA-PBE).

Cell and atoms:
a b c (Å): 6.6875 3.8487 13.3293
angles (deg): 90.00 101.23 90.00
Space group C2/m (No. 12)
Unique sites:
Sr1 0.1167 0.0000 0.3795 x4
Sr2 0.1352 0.5000 0.8397 x4
N1 0.0000 0.5000 0.5000 x2
N2 0.2315 0.5000 0.2458 x4

Principal peaks in the range 10 to 90 degrees two-theta, sorted by position:
hkl, d_spacing, Position (°2θ), intensity
0 0 4, 3.269, 27.28, 35
2 0 -2, 3.191, 27.96, 43
1 1 1, 3.144, 28.38, 100
1 1 -3, 2.776, 32.25, 92
2 0 2, 2.726, 32.85, 53
3 1 -1, 1.928, 47.13, 35

***

Q: Number 4 is which compound?
A: Zn4SnN4

***

Q: What is the formula in the fourth record?
A: Zn4SnN4